1.
Computed X-ray powder pattern of SrCaCdF6 for CuKα, from a structure optimized by DFT (PBE).

Cell and atoms:
a b c (Å): 5.9430 5.9430 10.2387
angles (deg): 90.00 90.00 120.00
Atoms (fractional coordinates):
Sr: 0.0000 0.0000 0.0000
Sr: 0.0000 0.0000 0.5000
Ca: 0.3333 0.6667 0.2500
Ca: 0.6667 0.3333 0.7500
Cd: 0.3333 0.6667 0.7500
Cd: 0.6667 0.3333 0.2500
F: 0.0009 0.3435 0.6358
F: 0.0009 0.6574 0.8642
F: 0.3435 0.0009 0.1358
F: 0.3435 0.3426 0.3642
F: 0.3426 0.3435 0.8642
F: 0.3426 0.9991 0.6358
F: 0.6574 0.0009 0.3642
F: 0.6574 0.6565 0.1358
F: 0.6565 0.6574 0.6358
F: 0.6565 0.9991 0.8642
F: 0.9991 0.3426 0.1358
F: 0.9991 0.6565 0.3642

Principal peaks in the range 2θ from 15° to 90°, sorted by position:
two_theta  I/Imax
19.30  238
24.53  1000
30.07  361
34.91  201
39.18  280
46.85  538
50.17  272
53.40  245
68.20  107
73.73  124

---

2.
Computed X-ray powder pattern of YBeRu4 for CuKα, from a structure optimized by DFT (PBE).

Cell and atoms:
a b c (Å): 5.1820 5.1820 5.1820
angles (deg): 60.00 60.00 60.00
Atoms (fractional coordinates):
Y: 0.0000 0.0000 0.0000
Be: 0.2500 0.2500 0.2500
Ru: 0.1277 0.6241 0.6241
Ru: 0.6241 0.1277 0.6241
Ru: 0.6241 0.6241 0.1277
Ru: 0.6241 0.6241 0.6241

Principal peaks in the range 2θ from 15° to 90°, sorted by position:
two_theta  I/Imax
21.00  537
24.29  101
40.84  1000
42.74  659
49.77  178
54.59  126
66.27  310
73.04  283
87.23  109
88.50  240